Entry 1:
This entry pairs a crystal structure of SrAl2P2O8F2 with its calculated PXRD pattern. Radiation: Cu Kα (weighted mean of Kα1 and Kα2). Structure: a cell relaxed with GGA-PBE.
No peak broadening, texture or thermal motion is included.

```
SrAl2P2O8F2
1.0
4.7275 0.0000 0.0000
0.0000 12.1379 0.0000
0.0000 0.0000 12.3387
Sr Al P O F
4 8 8 32 8
direct
0.2476 0.0055 0.2639
0.2524 0.9945 0.7639
0.7476 0.4945 0.7361
0.7524 0.5055 0.2361
0.0034 0.1434 0.5026
0.2473 0.2506 0.1069
0.2527 0.7494 0.6069
0.4966 0.8566 0.0026
0.5034 0.3566 0.4974
0.7473 0.2494 0.8931
0.7527 0.7506 0.3931
0.9966 0.6434 0.9974
0.0235 0.5347 0.4988
0.2463 0.2587 0.7166
0.2537 0.7413 0.2166
0.4765 0.4653 0.9988
0.5235 0.9653 0.5012
0.7463 0.2413 0.2834
0.7537 0.7587 0.7834
0.9765 0.0347 0.0012
0.0101 0.8047 0.7185
0.0310 0.7945 0.2927
0.0922 0.1058 0.0958
0.0970 0.6042 0.6017
0.1321 0.6434 0.1495
0.1504 0.1603 0.6447
0.2087 0.9544 0.9596
0.2228 0.5281 0.9529
0.2772 0.4719 0.4529
0.2913 0.0456 0.4596
0.3496 0.8397 0.1447
0.3679 0.3566 0.6495
0.4030 0.3958 0.1017
0.4078 0.8942 0.5958
0.4690 0.2055 0.7927
0.4899 0.1953 0.2185
0.5101 0.6953 0.2815
0.5310 0.7055 0.7073
0.5922 0.3942 0.9042
0.5970 0.8958 0.3983
0.6321 0.8566 0.8505
0.6504 0.3397 0.3553
0.7087 0.5456 0.0404
0.7228 0.9719 0.0471
0.7772 0.0281 0.5471
0.7913 0.4544 0.5404
0.8496 0.6603 0.8553
0.8679 0.1434 0.3505
0.9030 0.1042 0.8983
0.9078 0.6058 0.4042
0.9690 0.2945 0.2073
0.9899 0.3047 0.7815
0.0134 0.2922 0.9945
0.2206 0.2605 0.4611
0.2794 0.7395 0.9611
0.4866 0.7078 0.4945
0.5134 0.2078 0.0055
0.7206 0.2395 0.5389
0.7794 0.7605 0.0389
0.9866 0.7922 0.5055
```

Top 6 peaks for 10° ≤ 2θ ≤ 90°, low angle first:
2θ/deg	intensity
20.16	63
24.84	100
27.96	59
28.95	45
29.95	52
32.55	68

Entry 2:
This entry pairs a crystal structure of La3TbDy8 with its calculated PXRD pattern. Radiation: Cu Kα (weighted mean of Kα1 and Kα2). Structure: a cell relaxed with GGA-PBE.
No peak broadening, texture or thermal motion is included.

```
La3TbDy8
1.0
-4.4111 4.4111 5.6647
4.4111 -4.4111 5.6647
4.4111 4.4111 -5.6647
La Tb Dy
3 1 8
direct
0.0000 0.0000 0.0000
0.2500 0.7500 0.5000
0.7500 0.2500 0.5000
0.5000 0.5000 0.0000
0.1302 0.1302 0.7524
0.2455 0.7363 0.0000
0.2637 0.2637 0.5092
0.3777 0.3777 0.2476
0.6223 0.8698 0.0000
0.7363 0.2455 0.0000
0.7545 0.7545 0.4908
0.8698 0.6223 0.0000
```

Top 6 peaks for 10° ≤ 2θ ≤ 90°, low angle first:
2θ/deg	intensity
23.88	73
28.62	84
31.59	75
32.80	68
35.88	100
44.07	76

Entry 3:
This entry pairs a crystal structure of RbHoBr4 with its calculated PXRD pattern. Radiation: Cu Kα (weighted mean of Kα1 and Kα2). Structure: a cell relaxed with GGA-PBE.
No peak broadening, texture or thermal motion is included.

```
RbHoBr4
1.0
7.0455 0.0000 0.0000
0.0007 7.8007 0.0000
3.5039 2.2960 8.2741
Rb Ho Br
2 2 8
direct
0.2079 0.2508 0.4983
0.7921 0.7492 0.5017
0.0000 0.5000 0.0000
0.5000 0.0000 0.0000
0.1250 0.1606 0.1110
0.2647 0.6605 0.1108
0.2856 0.5519 0.6940
0.4816 0.9482 0.3058
0.5184 0.0518 0.6942
0.7144 0.4481 0.3060
0.7353 0.3395 0.8892
0.8750 0.8394 0.8890
```

Top 6 peaks for 10° ≤ 2θ ≤ 90°, low angle first:
2θ/deg	intensity
10.69	76
17.10	60
18.99	100
28.67	73
28.83	83
37.09	67

Entry 4:
This entry pairs a crystal structure of LiZn2Ni5B2 with its calculated PXRD pattern. Radiation: Cu Kα (weighted mean of Kα1 and Kα2). Structure: a cell relaxed with GGA-PBE.
No peak broadening, texture or thermal motion is included.

```
LiZn2Ni5B2
1.0
8.4911 0.0000 0.0000
0.0000 8.4911 0.0000
0.0000 0.0000 2.8894
Li Zn Ni B
2 4 10 4
direct
0.0000 0.0000 0.0000
0.5000 0.5000 0.0000
0.1774 0.3226 0.0000
0.3226 0.8226 0.0000
0.6774 0.1774 0.0000
0.8226 0.6774 0.0000
0.0000 0.5000 0.5000
0.0693 0.7822 0.5000
0.2178 0.0693 0.5000
0.2822 0.5693 0.5000
0.4307 0.2822 0.5000
0.5000 0.0000 0.5000
0.5693 0.7178 0.5000
0.7178 0.4307 0.5000
0.7822 0.9307 0.5000
0.9307 0.2178 0.5000
0.1253 0.6253 0.0000
0.3747 0.1253 0.0000
0.6253 0.8747 0.0000
0.8747 0.3747 0.0000
```

Top 6 peaks for 10° ≤ 2θ ≤ 90°, low angle first:
2θ/deg	intensity
39.18	93
43.97	100
45.31	32
46.15	82
49.96	43
81.36	29

Entry 5:
This entry pairs a crystal structure of PdSe2O5 with its calculated PXRD pattern. Radiation: Cu Kα (weighted mean of Kα1 and Kα2). Structure: a cell relaxed with GGA-PBE.
No peak broadening, texture or thermal motion is included.

```
PdSe2O5
1.0
6.3247 -2.9669 0.0000
6.3247 2.9669 0.0000
-2.1065 0.0000 7.1293
Pd Se O
2 4 10
direct
0.0000 0.0000 0.0000
0.0000 0.0000 0.5000
0.2520 0.4795 0.6863
0.4795 0.2520 0.1863
0.5205 0.7480 0.8137
0.7480 0.5205 0.3137
0.0920 0.6577 0.8759
0.0944 0.6557 0.5028
0.3423 0.9080 0.6241
0.3443 0.9056 0.9972
0.4720 0.5280 0.2500
0.5280 0.4720 0.7500
0.6557 0.0944 0.0028
0.6577 0.0920 0.3759
0.9056 0.3443 0.4972
0.9080 0.3423 0.1241
```

Top 6 peaks for 10° ≤ 2θ ≤ 90°, low angle first:
2θ/deg	intensity
14.60	44
19.51	53
26.68	66
28.33	100
32.14	31
32.91	19

Entry 6:
This entry pairs a crystal structure of Au2I6Cl with its calculated PXRD pattern. Radiation: Cu Kα (weighted mean of Kα1 and Kα2). Structure: a cell relaxed with GGA-PBE.
No peak broadening, texture or thermal motion is included.

```
Au2I6Cl
1.0
5.0138 0.0000 0.0000
-0.1680 7.6453 0.0000
-0.2473 -3.7672 10.9295
Au I Cl
2 6 1
direct
0.0944 0.4453 0.3252
0.9056 0.5547 0.6748
0.0459 0.7593 0.5322
0.0893 0.1251 0.1310
0.2488 0.6715 0.2034
0.7512 0.3285 0.7966
0.9107 0.8749 0.8690
0.9541 0.2407 0.4678
0.5000 0.5000 0.0000
```

Top 6 peaks for 10° ≤ 2θ ≤ 90°, low angle first:
2θ/deg	intensity
12.26	77
17.70	100
19.71	90
21.49	71
33.81	44
37.89	54

Entry 7:
This entry pairs a crystal structure of LiH3Rh with its calculated PXRD pattern. Radiation: Cu Kα (weighted mean of Kα1 and Kα2). Structure: a cell relaxed with GGA-PBE.
No peak broadening, texture or thermal motion is included.

```
LiH3Rh
1.0
2.8965 0.0000 0.0000
0.0000 2.8965 0.0000
0.0000 0.0000 4.6010
Li H Rh
1 3 1
direct
0.0000 0.0000 0.0000
0.0000 0.0000 0.6011
0.0000 0.5000 0.2731
0.5000 0.0000 0.2731
0.5000 0.5000 0.4823
```

Top 6 peaks for 10° ≤ 2θ ≤ 90°, low angle first:
2θ/deg	intensity
19.29	100
30.87	57
36.66	87
44.22	25
48.66	32
50.67	29

Entry 8:
This entry pairs a crystal structure of Nd5Si2Bi2 with its calculated PXRD pattern. Radiation: Cu Kα (weighted mean of Kα1 and Kα2). Structure: a cell relaxed with GGA-PBE.
No peak broadening, texture or thermal motion is included.

```
Nd5Si2Bi2
1.0
7.9392 -4.0843 0.0000
7.9392 4.0843 0.0000
0.0000 0.0000 8.1961
Nd Si Bi
10 4 4
direct
0.0000 0.0000 0.0000
0.0475 0.7018 0.6725
0.2018 0.5475 0.1725
0.2982 0.9525 0.6725
0.4525 0.7982 0.1725
0.5000 0.5000 0.5000
0.5475 0.2018 0.8275
0.7018 0.0475 0.3275
0.7982 0.4525 0.8275
0.9525 0.2982 0.3275
0.1195 0.8805 0.3810
0.3805 0.6195 0.8810
0.6195 0.3805 0.1190
0.8805 0.1195 0.6190
0.2089 0.2089 0.0000
0.2911 0.2911 0.5000
0.7089 0.7089 0.5000
0.7911 0.7911 0.0000
```

Top 6 peaks for 10° ≤ 2θ ≤ 90°, low angle first:
2θ/deg	intensity
24.37	38
30.91	61
31.40	100
32.15	71
33.32	38
35.14	68